The following is a simulated XRD peak list of Sc2TcB6. It was derived from a GGA-PBE-relaxed structure, using Cu Kα.

Cell and atoms:
Cell: 5.3007 5.3007 3.4533 Å, 90.00 90.00 120.00°
Space group P6/mmm (No. 191)
Unique sites:
1 Sc 0.3333 0.6667 0.0000 (multiplicity 2)
2 Tc 0.0000 0.0000 0.0000 (multiplicity 1)
3 B 0.0000 0.3279 0.5000 (multiplicity 6)

The 8 most intense peaks (5 to 70 degrees two-theta), by intensity:
d [Å]  intensity  index
2.103  100  1 1 1
2.650  61  1 1 0
4.591  29  1 0 0
3.453  29  0 0 1
1.530  20  3 0 0
1.447  18  1 1 2
2.760  15  1 0 1
1.399  12  3 0 1